Diffraction record for Dy3TcI3. The X-ray powder pattern is theoretical, not measured: it uses a crystal structure in Alexandria, relaxed with GGA-PBE and Cu Kα.
Neutral-atom scattering factors, no anomalous dispersion.

```
data_Dy3TcI3
_chemical_formula_sum 'Dy18 Tc6 I18'
_cell_length_a 7.1831
_cell_length_b 7.1831
_cell_length_c 34.4023
_cell_angle_alpha 90.00
_cell_angle_beta 90.00
_cell_angle_gamma 120.00
_space_group_name_H-M_alt 'R -3'
_space_group_IT_number 148
_space_group_name_Hall '-R 3'
loop_
_atom_site_label
_atom_site_type_symbol
_atom_site_fract_x
_atom_site_fract_y
_atom_site_fract_z
_atom_site_occupancy
Dy1 Dy 0.0003 0.3749 0.4532 1
Tc1 Tc 0.0000 0.0000 0.1667 1
I1 I 0.0001 0.3167 0.6071 1
```

Principal peaks in the range 2θ from 10° to 90°, by angle:
- 2θ = 15.45°, rel. 9
- 2θ = 24.79°, rel. 16
- 2θ = 29.34°, rel. 100
- 2θ = 34.26°, rel. 11
- 2θ = 40.25°, rel. 31
- 2θ = 43.65°, rel. 26
- 2θ = 47.01°, rel. 7
- 2θ = 53.47°, rel. 15
- 2θ = 66.54°, rel. 8
- 2θ = 71.41°, rel. 9

Diffraction record for Dy6Te8I. The X-ray powder pattern is theoretical, not measured: it uses a crystal structure in Alexandria, relaxed with GGA-PBE and Cu Kα.
Neutral-atom scattering factors, no anomalous dispersion.

```
data_Dy6Te8I
_chemical_formula_sum 'Dy6 Te8 I1'
_cell_length_a 11.8828
_cell_length_b 11.8828
_cell_length_c 4.4403
_cell_angle_alpha 90.00
_cell_angle_beta 90.00
_cell_angle_gamma 120.00
_space_group_name_H-M_alt 'P -3'
_space_group_IT_number 147
_space_group_name_Hall '-P 3'
loop_
_atom_site_label
_atom_site_type_symbol
_atom_site_fract_x
_atom_site_fract_y
_atom_site_fract_z
_atom_site_occupancy
Dy1 Dy 0.1371 0.6580 0.2503 1
Te1 Te 0.0474 0.3638 0.2485 1
Te2 Te 0.3333 0.6667 0.7501 1
I1 I 0.0000 0.0000 0.5000 1
```

Principal peaks in the range 2θ from 10° to 90°, by angle:
- 2θ = 21.80°, rel. 33
- 2θ = 22.86°, rel. 26
- 2θ = 25.98°, rel. 38
- 2θ = 26.52°, rel. 39
- 2θ = 30.55°, rel. 100
- 2θ = 31.34°, rel. 38
- 2θ = 36.39°, rel. 88
- 2θ = 40.64°, rel. 24
- 2θ = 43.41°, rel. 42
- 2θ = 69.17°, rel. 27

Diffraction record for Dy3Te3I. The X-ray powder pattern is theoretical, not measured: it uses a crystal structure in Alexandria, relaxed with GGA-PBE and Cu Kα.
Neutral-atom scattering factors, no anomalous dispersion.

```
data_Dy3Te3I
_chemical_formula_sum 'Dy3 Te3 I1'
_cell_length_a 4.3426
_cell_length_b 4.3426
_cell_length_c 12.1406
_cell_angle_alpha 90.00
_cell_angle_beta 90.00
_cell_angle_gamma 90.00
_space_group_name_H-M_alt 'P 4/m m m'
_space_group_IT_number 123
_space_group_name_Hall '-P 4 2'
loop_
_atom_site_label
_atom_site_type_symbol
_atom_site_fract_x
_atom_site_fract_y
_atom_site_fract_z
_atom_site_occupancy
Dy1 Dy 0.0000 0.0000 0.0000 1
Dy2 Dy 0.5000 0.5000 0.2511 1
Te1 Te 0.0000 0.0000 0.2590 1
Te2 Te 0.5000 0.5000 0.0000 1
I1 I 0.5000 0.5000 0.5000 1
```

Principal peaks in the range 2θ from 10° to 90°, by angle:
- 2θ = 29.08°, rel. 100
- 2θ = 29.43°, rel. 48
- 2θ = 41.59°, rel. 38
- 2θ = 41.85°, rel. 73
- 2θ = 51.77°, rel. 40
- 2θ = 60.28°, rel. 13
- 2θ = 68.30°, rel. 17
- 2θ = 68.49°, rel. 17
- 2θ = 69.03°, rel. 16
- 2θ = 76.07°, rel. 25

Diffraction record for Dy2TlI2. The X-ray powder pattern is theoretical, not measured: it uses a crystal structure in Alexandria, relaxed with GGA-PBE and Cu Kα.
Neutral-atom scattering factors, no anomalous dispersion.

```
data_Dy2TlI2
_chemical_formula_sum 'Dy6 Tl3 I6'
_cell_length_a 4.1728
_cell_length_b 4.1728
_cell_length_c 36.1571
_cell_angle_alpha 90.00
_cell_angle_beta 90.00
_cell_angle_gamma 120.00
_space_group_name_H-M_alt 'R -3 m'
_space_group_IT_number 166
_space_group_name_Hall '-R 3 2"'
loop_
_atom_site_label
_atom_site_type_symbol
_atom_site_fract_x
_atom_site_fract_y
_atom_site_fract_z
_atom_site_occupancy
Dy1 Dy 0.0000 0.0000 0.1127 1
Tl1 Tl 0.0000 0.0000 0.5000 1
I1 I 0.0000 0.0000 0.2757 1
```

Principal peaks in the range 2θ from 10° to 90°, by angle:
- 2θ = 27.59°, rel. 100
- 2θ = 31.70°, rel. 43
- 2θ = 35.11°, rel. 22
- 2θ = 40.95°, rel. 41
- 2θ = 43.37°, rel. 38
- 2θ = 52.18°, rel. 17
- 2θ = 61.17°, rel. 12
- 2θ = 64.38°, rel. 23
- 2θ = 70.11°, rel. 15
- 2θ = 77.92°, rel. 12

Diffraction record for DyTl2I5. The X-ray powder pattern is theoretical, not measured: it uses a crystal structure in Alexandria, relaxed with GGA-PBE and Cu Kα.
Neutral-atom scattering factors, no anomalous dispersion.

```
data_DyTl2I5
_chemical_formula_sum 'Dy2 Tl4 I10'
_cell_length_a 11.9370
_cell_length_b 11.9371
_cell_length_c 9.0505
_cell_angle_alpha 90.00
_cell_angle_beta 131.21
_cell_angle_gamma 90.00
_space_group_name_H-M_alt 'C 1 m 1'
_space_group_IT_number 8
_space_group_name_Hall 'C -2y'
loop_
_atom_site_label
_atom_site_type_symbol
_atom_site_fract_x
_atom_site_fract_y
_atom_site_fract_z
_atom_site_occupancy
Dy1 Dy 0.0000 0.0000 0.0000 1
Tl1 Tl 0.0655 0.2498 0.6303 1
I1 I 0.1861 0.0000 0.8860 1
I2 I 0.1998 0.5000 0.8852 1
I3 I 0.2096 0.0000 0.4200 1
I4 I 0.4429 0.2571 0.8854 1
```

Principal peaks in the range 2θ from 10° to 90°, by angle:
- 2θ = 12.34°, rel. 67
- 2θ = 13.00°, rel. 87
- 2θ = 19.78°, rel. 89
- 2θ = 24.82°, rel. 85
- 2θ = 29.94°, rel. 100
- 2θ = 30.22°, rel. 44
- 2θ = 32.77°, rel. 38
- 2θ = 33.83°, rel. 66
- 2θ = 36.15°, rel. 40
- 2θ = 42.86°, rel. 37

Diffraction record for DyYI4. The X-ray powder pattern is theoretical, not measured: it uses a crystal structure in Alexandria, relaxed with GGA-PBE and Cu Kα.
Neutral-atom scattering factors, no anomalous dispersion.

```
data_DyYI4
_chemical_formula_sum 'Dy1 Y1 I4'
_cell_length_a 7.1622
_cell_length_b 4.1405
_cell_length_c 8.3957
_cell_angle_alpha 90.00
_cell_angle_beta 106.29
_cell_angle_gamma 90.00
_space_group_name_H-M_alt 'P 1 2/m 1'
_space_group_IT_number 10
_space_group_name_Hall '-P 2y'
loop_
_atom_site_label
_atom_site_type_symbol
_atom_site_fract_x
_atom_site_fract_y
_atom_site_fract_z
_atom_site_occupancy
Dy1 Dy 0.0000 0.0000 0.0000 1
Y1 Y 0.5000 0.5000 0.0000 1
I1 I 0.2457 0.5000 0.2426 1
I2 I 0.2525 0.0000 0.7569 1
```

Principal peaks in the range 2θ from 10° to 90°, by angle:
- 2θ = 10.98°, rel. 42
- 2θ = 25.12°, rel. 15
- 2θ = 25.93°, rel. 15
- 2θ = 28.97°, rel. 100
- 2θ = 38.92°, rel. 15
- 2θ = 39.02°, rel. 29
- 2θ = 43.76°, rel. 32
- 2θ = 53.33°, rel. 18
- 2θ = 64.50°, rel. 13
- 2θ = 71.31°, rel. 10

Diffraction record for Dy7In5. The X-ray powder pattern is theoretical, not measured: it uses a crystal structure in Alexandria, relaxed with GGA-PBE and Cu Kα.
Neutral-atom scattering factors, no anomalous dispersion.

```
data_Dy7In5
_chemical_formula_sum 'Dy14 In10'
_cell_length_a 11.8952
_cell_length_b 5.0910
_cell_length_c 11.8898
_cell_angle_alpha 90.00
_cell_angle_beta 109.83
_cell_angle_gamma 90.00
_space_group_name_H-M_alt 'C 1 2/m 1'
_space_group_IT_number 12
_space_group_name_Hall '-C 2y'
loop_
_atom_site_label
_atom_site_type_symbol
_atom_site_fract_x
_atom_site_fract_y
_atom_site_fract_z
_atom_site_occupancy
Dy1 Dy 0.0000 0.0000 0.0000 1
Dy2 Dy 0.0732 0.5000 0.2581 1
Dy3 Dy 0.1331 0.0000 0.7761 1
Dy4 Dy 0.1523 0.0000 0.5014 1
In1 In 0.0000 0.5000 0.5000 1
In2 In 0.1673 0.5000 0.9650 1
In3 In 0.2373 0.0000 0.2773 1
```

Principal peaks in the range 2θ from 10° to 90°, by angle:
- 2θ = 29.66°, rel. 15
- 2θ = 32.01°, rel. 50
- 2θ = 32.74°, rel. 95
- 2θ = 32.87°, rel. 100
- 2θ = 35.26°, rel. 49
- 2θ = 45.77°, rel. 13
- 2θ = 48.35°, rel. 31
- 2θ = 57.69°, rel. 14
- 2θ = 61.68°, rel. 16
- 2θ = 61.77°, rel. 16

Diffraction record for Dy4InIr2. The X-ray powder pattern is theoretical, not measured: it uses a crystal structure in Alexandria, relaxed with GGA-PBE and Cu Kα.
Neutral-atom scattering factors, no anomalous dispersion.

```
data_Dy4InIr2
_chemical_formula_sum 'Dy12 In3 Ir6'
_cell_length_a 4.6318
_cell_length_b 4.6318
_cell_length_c 29.6778
_cell_angle_alpha 90.00
_cell_angle_beta 90.00
_cell_angle_gamma 120.00
_space_group_name_H-M_alt 'R -3 m'
_space_group_IT_number 166
_space_group_name_Hall '-R 3 2"'
loop_
_atom_site_label
_atom_site_type_symbol
_atom_site_fract_x
_atom_site_fract_y
_atom_site_fract_z
_atom_site_occupancy
Dy1 Dy 0.0000 0.0000 0.1087 1
Dy2 Dy 0.0000 0.0000 0.2990 1
In1 In 0.0000 0.0000 0.5000 1
Ir1 Ir 0.0000 0.0000 0.4024 1
```

Principal peaks in the range 2θ from 10° to 90°, by angle:
- 2θ = 17.93°, rel. 16
- 2θ = 22.37°, rel. 24
- 2θ = 25.24°, rel. 31
- 2θ = 26.82°, rel. 28
- 2θ = 30.68°, rel. 15
- 2θ = 37.70°, rel. 99
- 2θ = 38.89°, rel. 100
- 2θ = 55.28°, rel. 33
- 2θ = 69.64°, rel. 33
- 2θ = 70.42°, rel. 18

Diffraction record for Dy8In2Ir3. The X-ray powder pattern is theoretical, not measured: it uses a crystal structure in Alexandria, relaxed with GGA-PBE and Cu Kα.
Neutral-atom scattering factors, no anomalous dispersion.

```
data_Dy8In2Ir3
_chemical_formula_sum 'Dy8 In2 Ir3'
_cell_length_a 8.8124
_cell_length_b 4.9341
_cell_length_c 8.8154
_cell_angle_alpha 90.00
_cell_angle_beta 111.81
_cell_angle_gamma 90.00
_space_group_name_H-M_alt 'P 1 2/m 1'
_space_group_IT_number 10
_space_group_name_Hall '-P 2y'
loop_
_atom_site_label
_atom_site_type_symbol
_atom_site_fract_x
_atom_site_fract_y
_atom_site_fract_z
_atom_site_occupancy
Dy1 Dy 0.1111 0.0000 0.3889 1
Dy2 Dy 0.1411 0.5000 0.8658 1
Dy3 Dy 0.3657 0.5000 0.6412 1
Dy4 Dy 0.3862 0.0000 0.1137 1
In1 In 0.2450 0.5000 0.2557 1
Ir1 Ir 0.2466 0.0000 0.7467 1
Ir2 Ir 0.5000 0.5000 0.0000 1
```

Principal peaks in the range 2θ from 10° to 90°, by angle:
- 2θ = 12.13°, rel. 22
- 2θ = 21.73°, rel. 15
- 2θ = 35.59°, rel. 100
- 2θ = 36.39°, rel. 50
- 2θ = 45.44°, rel. 11
- 2θ = 52.41°, rel. 18
- 2θ = 63.39°, rel. 15
- 2θ = 64.96°, rel. 35
- 2θ = 75.35°, rel. 9
- 2θ = 88.58°, rel. 8

Diffraction record for Dy7In2Ir2. The X-ray powder pattern is theoretical, not measured: it uses a crystal structure in Alexandria, relaxed with GGA-PBE and Cu Kα.
Neutral-atom scattering factors, no anomalous dispersion.

```
data_Dy7In2Ir2
_chemical_formula_sum 'Dy14 In4 Ir4'
_cell_length_a 8.2177
_cell_length_b 10.9184
_cell_length_c 7.0727
_cell_angle_alpha 90.00
_cell_angle_beta 90.00
_cell_angle_gamma 90.00
_space_group_name_H-M_alt 'C m m m'
_space_group_IT_number 65
_space_group_name_Hall '-C 2 2'
loop_
_atom_site_label
_atom_site_type_symbol
_atom_site_fract_x
_atom_site_fract_y
_atom_site_fract_z
_atom_site_occupancy
Dy1 Dy 0.0000 0.0000 0.0000 1
Dy2 Dy 0.0000 0.5000 0.2419 1
Dy3 Dy 0.2500 0.2500 0.2483 1
In1 In 0.1758 0.0000 0.5000 1
Ir1 Ir 0.0000 0.2874 0.0000 1
```

Principal peaks in the range 2θ from 10° to 90°, by angle:
- 2θ = 12.52°, rel. 22
- 2θ = 20.55°, rel. 23
- 2θ = 25.06°, rel. 41
- 2θ = 27.16°, rel. 30
- 2θ = 28.67°, rel. 31
- 2θ = 32.81°, rel. 54
- 2θ = 33.43°, rel. 22
- 2θ = 37.10°, rel. 43
- 2θ = 37.38°, rel. 100
- 2θ = 44.08°, rel. 20

Diffraction record for La12Dy7In. The X-ray powder pattern is theoretical, not measured: it uses a crystal structure in Alexandria, relaxed with GGA-PBE and Cu Kα.
Neutral-atom scattering factors, no anomalous dispersion.

```
data_La12Dy7In
_chemical_formula_sum 'La24 Dy14 In2'
_cell_length_a 11.7203
_cell_length_b 11.7203
_cell_length_c 11.7203
_cell_angle_alpha 90.00
_cell_angle_beta 90.00
_cell_angle_gamma 90.00
_space_group_name_H-M_alt 'I m -3'
_space_group_IT_number 204
_space_group_name_Hall '-I 2 2 3'
loop_
_atom_site_label
_atom_site_type_symbol
_atom_site_fract_x
_atom_site_fract_y
_atom_site_fract_z
_atom_site_occupancy
La1 La 0.0000 0.2283 0.2240 1
Dy1 Dy 0.0000 0.0000 0.5000 1
Dy2 Dy 0.2500 0.2500 0.2500 1
In1 In 0.0000 0.0000 0.0000 1
```

Principal peaks in the range 2θ from 10° to 90°, by angle:
- 2θ = 15.12°, rel. 22
- 2θ = 21.44°, rel. 32
- 2θ = 26.34°, rel. 57
- 2θ = 30.51°, rel. 100
- 2θ = 37.60°, rel. 24
- 2θ = 43.69°, rel. 65
- 2θ = 51.74°, rel. 15
- 2θ = 54.22°, rel. 20
- 2θ = 72.08°, rel. 20
- 2θ = 80.25°, rel. 13

Diffraction record for LaDy3In2. The X-ray powder pattern is theoretical, not measured: it uses a crystal structure in Alexandria, relaxed with GGA-PBE and Cu Kα.
Neutral-atom scattering factors, no anomalous dispersion.

```
data_LaDy3In2
_chemical_formula_sum 'La2 Dy6 In4'
_cell_length_a 5.2708
_cell_length_b 9.9719
_cell_length_c 6.7580
_cell_angle_alpha 90.00
_cell_angle_beta 90.00
_cell_angle_gamma 90.00
_space_group_name_H-M_alt 'P m c 21'
_space_group_IT_number 26
_space_group_name_Hall 'P 2c -2'
loop_
_atom_site_label
_atom_site_type_symbol
_atom_site_fract_x
_atom_site_fract_y
_atom_site_fract_z
_atom_site_occupancy
La1 La 0.0000 0.0378 0.0000 1
Dy1 Dy 0.0000 0.3239 0.6441 1
Dy2 Dy 0.5000 0.1886 0.2748 1
Dy3 Dy 0.5000 0.4589 0.9256 1
In1 In 0.0000 0.3610 0.1724 1
In2 In 0.5000 0.1483 0.7429 1
```

Principal peaks in the range 2θ from 10° to 90°, by angle:
- 2θ = 27.95°, rel. 18
- 2θ = 31.45°, rel. 42
- 2θ = 31.83°, rel. 100
- 2θ = 32.00°, rel. 33
- 2θ = 32.74°, rel. 79
- 2θ = 34.02°, rel. 56
- 2θ = 37.97°, rel. 19
- 2θ = 47.40°, rel. 22
- 2θ = 51.89°, rel. 16
- 2θ = 59.51°, rel. 17

Diffraction record for La2Dy4In. The X-ray powder pattern is theoretical, not measured: it uses a crystal structure in Alexandria, relaxed with GGA-PBE and Cu Kα.
Neutral-atom scattering factors, no anomalous dispersion.

```
data_La2Dy4In
_chemical_formula_sum 'La4 Dy8 In2'
_cell_length_a 6.5508
_cell_length_b 12.0413
_cell_length_c 6.4630
_cell_angle_alpha 90.00
_cell_angle_beta 116.83
_cell_angle_gamma 90.00
_space_group_name_H-M_alt 'P 1 21/c 1'
_space_group_IT_number 14
_space_group_name_Hall '-P 2ybc'
loop_
_atom_site_label
_atom_site_type_symbol
_atom_site_fract_x
_atom_site_fract_y
_atom_site_fract_z
_atom_site_occupancy
La1 La 0.1819 0.0184 0.3289 1
Dy1 Dy 0.1589 0.1989 0.8292 1
Dy2 Dy 0.3514 0.7258 0.1870 1
In1 In 0.5000 0.0000 0.0000 1
```

Principal peaks in the range 2θ from 10° to 90°, by angle:
- 2θ = 28.29°, rel. 26
- 2θ = 29.68°, rel. 54
- 2θ = 31.48°, rel. 99
- 2θ = 31.91°, rel. 45
- 2θ = 33.17°, rel. 50
- 2θ = 33.89°, rel. 41
- 2θ = 34.52°, rel. 100
- 2θ = 35.41°, rel. 32
- 2θ = 53.79°, rel. 35
- 2θ = 54.69°, rel. 22